No. 1
Computed powder X-ray diffraction pattern
Compound: Li23Cd6
Radiation: Cu Kα, 1.54184 Å
Structure: a GGA-PBE-relaxed structure
Neutral-atom scattering factors, no anomalous dispersion.

Atomic structure:
Unit cell a=9.250 b=9.250 c=9.250 alpha=60.00 beta=60.00 gamma=60.00
Sites, in units of the cell vectors:
Li (0.000, 0.000, 0.000)
Li (0.000, 0.000, 0.500)
Li (0.000, 0.500, 0.000)
Li (0.000, 0.500, 0.500)
Li (0.139, 0.139, 0.139)
Li (0.139, 0.139, 0.584)
Li (0.139, 0.584, 0.139)
Li (0.161, 0.613, 0.613)
Li (0.387, 0.387, 0.387)
Li (0.387, 0.387, 0.839)
Li (0.387, 0.839, 0.387)
Li (0.416, 0.861, 0.861)
Li (0.500, 0.000, 0.000)
Li (0.500, 0.000, 0.500)
Li (0.500, 0.500, 0.000)
Li (0.584, 0.139, 0.139)
Li (0.613, 0.161, 0.613)
Li (0.613, 0.613, 0.161)
Li (0.613, 0.613, 0.613)
Li (0.839, 0.387, 0.387)
Li (0.861, 0.416, 0.861)
Li (0.861, 0.861, 0.416)
Li (0.861, 0.861, 0.861)
Cd (0.233, 0.233, 0.767)
Cd (0.233, 0.767, 0.233)
Cd (0.233, 0.767, 0.767)
Cd (0.767, 0.233, 0.233)
Cd (0.767, 0.233, 0.767)
Cd (0.767, 0.767, 0.233)

Top 12 peaks for 10 to 90 degrees two-theta, by angle:
2θ/deg, Rel. int.
13.54, 34.5
19.19, 29.9
23.56, 100.0
27.27, 50.4
30.56, 16.8
33.56, 18.2
35.66, 13.6
38.95, 56.3
46.02, 42.7
61.83, 14.7
63.62, 13.7
70.54, 14.0

***

No. 2
Computed powder X-ray diffraction pattern
Compound: LiCd
Radiation: Cu Kα, 1.54184 Å
Structure: a GGA-PBE-relaxed structure
Neutral-atom scattering factors, no anomalous dispersion.

Atomic structure:
Unit cell a=9.620 b=4.154 c=4.156 alpha=90.00 beta=115.51 gamma=90.00
Sites, in units of the cell vectors:
Li (0.125, 0.000, 0.375)
Li (0.375, 0.500, 0.625)
Li (0.625, 0.500, 0.375)
Li (0.875, 0.000, 0.625)
Cd (0.125, 0.500, 0.876)
Cd (0.375, 0.000, 0.124)
Cd (0.625, 0.000, 0.876)
Cd (0.875, 0.500, 0.124)

Top 12 peaks for 10 to 90 degrees two-theta, by angle:
2θ/deg, Rel. int.
23.74, 100.0
36.94, 75.4
37.88, 29.4
41.61, 13.4
43.56, 23.4
50.21, 25.3
57.52, 8.2
59.08, 15.1
61.80, 11.8
72.86, 9.5
75.61, 17.2
78.64, 7.7

***

No. 3
Computed powder X-ray diffraction pattern
Compound: Li12Cd
Radiation: Cu Kα, 1.54184 Å
Structure: a GGA-PBE-relaxed structure
Neutral-atom scattering factors, no anomalous dispersion.

Atomic structure:
Unit cell a=7.917 b=7.917 c=7.917 alpha=60.00 beta=60.00 gamma=60.00
Sites, in units of the cell vectors:
Li (0.000, 0.000, 0.342)
Li (0.000, 0.000, 0.658)
Li (0.000, 0.342, 0.000)
Li (0.000, 0.342, 0.658)
Li (0.000, 0.658, 0.000)
Li (0.000, 0.658, 0.342)
Li (0.342, 0.000, 0.000)
Li (0.342, 0.000, 0.658)
Li (0.342, 0.658, 0.000)
Li (0.658, 0.000, 0.000)
Li (0.658, 0.000, 0.342)
Li (0.658, 0.342, 0.000)
Cd (0.500, 0.500, 0.500)

Top 12 peaks for 10 to 90 degrees two-theta, by angle:
2θ/deg, Rel. int.
13.70, 88.6
15.83, 63.1
22.46, 42.1
26.40, 100.0
27.60, 31.5
34.93, 36.8
35.87, 26.3
39.43, 34.0
41.93, 17.9
48.08, 38.5
48.80, 25.6
63.86, 23.1

***

No. 4
Computed powder X-ray diffraction pattern
Compound: Li4Cd5
Radiation: Cu Kα, 1.54184 Å
Structure: a GGA-PBE-relaxed structure
Neutral-atom scattering factors, no anomalous dispersion.

Atomic structure:
Unit cell a=6.896 b=6.896 c=3.962 alpha=106.60 beta=106.60 gamma=85.21
Sites, in units of the cell vectors:
Li (0.000, 0.332, 0.166)
Li (0.000, 0.668, 0.834)
Li (0.332, 0.000, 0.166)
Li (0.668, 0.000, 0.834)
Cd (0.000, 0.000, 0.500)
Cd (0.324, 0.324, 0.826)
Cd (0.324, 0.676, 0.500)
Cd (0.676, 0.324, 0.500)
Cd (0.676, 0.676, 0.174)

Top 12 peaks for 10 to 90 degrees two-theta, by angle:
2θ/deg, Rel. int.
13.40, 12.1
18.99, 29.4
24.40, 44.5
30.24, 25.1
31.10, 13.0
36.70, 100.0
40.97, 36.1
41.64, 15.0
45.81, 13.2
63.06, 9.6
63.18, 9.4
71.86, 18.5

***

No. 5
Computed powder X-ray diffraction pattern
Compound: Li2Cd
Radiation: Cu Kα, 1.54184 Å
Structure: a GGA-PBE-relaxed structure
Neutral-atom scattering factors, no anomalous dispersion.

Atomic structure:
Unit cell a=3.012 b=4.093 c=8.999 alpha=90.00 beta=90.00 gamma=90.00
Sites, in units of the cell vectors:
Li (0.000, 0.000, 0.163)
Li (0.000, 0.000, 0.837)
Li (0.500, 0.500, 0.337)
Li (0.500, 0.500, 0.663)
Cd (0.000, 0.000, 0.500)
Cd (0.500, 0.500, 0.000)

Top 12 peaks for 10 to 90 degrees two-theta, by angle:
2θ/deg, Rel. int.
19.73, 79.6
23.88, 100.0
31.31, 50.3
37.06, 41.4
37.16, 41.0
40.08, 12.6
42.33, 43.7
42.53, 27.8
48.89, 14.1
55.22, 19.0
55.75, 27.7
63.06, 16.5

***

No. 6
Computed powder X-ray diffraction pattern
Compound: Li12Cd
Radiation: Cu Kα, 1.54184 Å
Structure: a GGA-PBE-relaxed structure
Neutral-atom scattering factors, no anomalous dispersion.

Atomic structure:
Unit cell a=7.353 b=7.353 c=7.353 alpha=90.00 beta=90.00 gamma=90.00
Sites, in units of the cell vectors:
Li (0.000, 0.248, 0.500)
Li (0.000, 0.500, 0.248)
Li (0.000, 0.500, 0.752)
Li (0.000, 0.752, 0.500)
Li (0.248, 0.000, 0.500)
Li (0.248, 0.500, 0.000)
Li (0.500, 0.000, 0.248)
Li (0.500, 0.000, 0.752)
Li (0.500, 0.248, 0.000)
Li (0.500, 0.752, 0.000)
Li (0.752, 0.000, 0.500)
Li (0.752, 0.500, 0.000)
Cd (0.000, 0.000, 0.000)

Top 12 peaks for 10 to 90 degrees two-theta, by angle:
2θ/deg, Rel. int.
12.04, 100.0
17.05, 59.0
20.93, 37.6
24.21, 28.3
27.12, 60.9
29.76, 66.3
36.67, 33.9
38.73, 15.7
40.70, 20.2
44.42, 15.3
46.20, 38.4
51.23, 20.0